HfH3: theoretical powder XRD pattern (a wavelength of 1.5418 Å), based on a structure optimized by DFT (GGA-PBE).

Principal peaks in the range 10° ≤ 2θ ≤ 90°, in order of rising 2θ:
2θ = 21.61°, rel. 59, hkl 1 0 0; 2θ = 35.52°, rel. 100, hkl 1 0 1; 2θ = 37.89°, rel. 56, hkl 1 1 0; 2θ = 44.03°, rel. 10, hkl 2 0 0; 2θ = 52.91°, rel. 34, hkl 2 0 1; 2θ = 57.55°, rel. 6, hkl 0 0 2; 2θ = 59.46°, rel. 8, hkl 2 1 0; 2θ = 62.20°, rel. 7, hkl 1 0 2; 2θ = 66.90°, rel. 33, hkl 2 1 1; 2θ = 68.43°, rel. 10, hkl 3 0 0; 2θ = 70.98°, rel. 18, hkl 1 1 2; 2θ = 80.98°, rel. 7, hkl 2 2 0

Crystal structure
Unit cell a=4.7493 b=4.7493 c=3.2033 alpha=90.00 beta=90.00 gamma=120.00
Atoms (fractional coordinates):
Hf (0.3333, 0.6667, 0.2500)
Hf (0.6667, 0.3333, 0.7500)
H (0.1810, 0.3620, 0.7500)
H (0.1810, 0.8190, 0.7500)
H (0.3620, 0.1810, 0.2500)
H (0.6380, 0.8190, 0.7500)
H (0.8190, 0.1810, 0.2500)
H (0.8190, 0.6380, 0.2500)

Ba2MnTe3: theoretical powder XRD pattern (a wavelength of 1.5418 Å), based on a structure optimized by DFT (GGA-PBE).

Principal peaks in the range 10° ≤ 2θ ≤ 90°, in order of rising 2θ:
2θ = 22.64°, rel. 25, hkl 1 1 2; 2θ = 24.99°, rel. 37, hkl 1 0 5; 2θ = 26.00°, rel. 37, hkl 2 0 4; 2θ = 26.40°, rel. 83, hkl 2 1 1; 2θ = 27.63°, rel. 100, hkl 2 1 2; 2θ = 27.88°, rel. 57, hkl 1 1 4; 2θ = 28.83°, rel. 31, hkl 3 0 2; 2θ = 31.27°, rel. 51, hkl 1 1 5; 2θ = 33.48°, rel. 31, hkl 3 1 1; 2θ = 35.14°, rel. 23, hkl 2 1 5; 2θ = 37.52°, rel. 59, hkl 0 2 0; 2θ = 53.69°, rel. 24, hkl 4 1 7

Crystal structure
Unit cell a=9.8205 b=4.7947 c=19.1218 alpha=90.00 beta=90.00 gamma=90.00
Atoms (fractional coordinates):
Ba (0.0827, 0.2500, 0.2130)
Ba (0.2490, 0.7500, 0.4590)
Ba (0.2510, 0.2500, 0.9590)
Ba (0.4173, 0.7500, 0.7130)
Ba (0.5827, 0.2500, 0.2870)
Ba (0.7490, 0.7500, 0.0410)
Ba (0.7510, 0.2500, 0.5410)
Ba (0.9173, 0.7500, 0.7870)
Mn (0.1325, 0.2500, 0.6358)
Mn (0.3675, 0.7500, 0.1358)
Mn (0.6325, 0.2500, 0.8642)
Mn (0.8675, 0.7500, 0.3642)
Te (0.0017, 0.7500, 0.6014)
Te (0.1213, 0.7500, 0.0719)
Te (0.1830, 0.2500, 0.7753)
Te (0.3170, 0.7500, 0.2753)
Te (0.3787, 0.2500, 0.5719)
Te (0.4983, 0.2500, 0.1014)
Te (0.5017, 0.7500, 0.8986)
Te (0.6213, 0.7500, 0.4281)
Te (0.6830, 0.2500, 0.7247)
Te (0.8170, 0.7500, 0.2247)
Te (0.8787, 0.2500, 0.9281)
Te (0.9983, 0.2500, 0.3986)